[1]
The following is a calculated powder X-ray diffraction pattern of SiNi. It was derived from a crystal structure in the Materials Project, relaxed with PBE, using a wavelength of 1.5418 Å.
Neutral-atom scattering factors, no anomalous dispersion.

Most intense lines, 10 to 90 degrees two-theta, low angle first:
(hkl)	d_spacing	intensity
0 1 1	2.872	75.3
2 0 0	2.577	29.1
1 1 2	1.980	74.6
2 1 1	1.918	100.0
2 0 2	1.893	30.5
0 2 0	1.675	29.3

abc: 5.155 3.350 5.581
angles: 90.00 90.00 90.00
Space group Pnma (No. 62)
Symmetry-distinct sites (fractional):
Si (0.178, 0.250, 0.083) [4 per cell]
Ni (0.009, 0.250, 0.688) [4 per cell]

=====

[2]
The following is a calculated powder X-ray diffraction pattern of Ca2Al4Si8O33. It was derived from a crystal structure in the Materials Project, relaxed with PBE, using a wavelength of 1.5418 Å.
Neutral-atom scattering factors, no anomalous dispersion.

Most intense lines, 10 to 90 degrees two-theta, low angle first:
(hkl)	d_spacing	intensity
0 1 1	7.075	50.9
0 2 -1	4.235	100.0
1 2 2	3.717	86.1
2 0 0	3.561	64.7
1 1 -2	3.487	54.1
2 -1 0	3.114	87.3

abc: 7.582 10.003 10.107
angles: 82.97 74.83 75.37
Space group P1 (No. 1)
Symmetry-distinct sites (fractional):
Ca (0.000, 0.000, 0.000) [1 per cell]
Ca (0.450, 0.514, 0.521) [1 per cell]
Al (0.454, 0.432, 0.826) [1 per cell]
Al (0.457, 0.821, 0.436) [1 per cell]
Al (0.989, 0.689, 0.082) [1 per cell]
Al (0.992, 0.076, 0.694) [1 per cell]
Si (0.040, 0.558, 0.798) [1 per cell]
Si (0.041, 0.793, 0.561) [1 per cell]
Si (0.405, 0.716, 0.958) [1 per cell]
Si (0.407, 0.950, 0.721) [1 per cell]
Si (0.578, 0.107, 0.878) [1 per cell]
Si (0.578, 0.874, 0.113) [1 per cell]
Si (0.869, 0.401, 0.640) [1 per cell]
Si (0.870, 0.635, 0.404) [1 per cell]
O (0.111, 0.182, 0.084) [1 per cell]
O (0.134, 0.122, 0.205) [1 per cell]
O (0.178, 0.777, 0.027) [1 per cell]
O (0.180, 0.020, 0.780) [1 per cell]
O (0.198, 0.185, 0.275) [1 per cell]
O (0.267, 0.489, 0.739) [1 per cell]
O (0.268, 0.733, 0.492) [1 per cell]
O (0.324, 0.327, 0.420) [1 per cell]
O (0.348, 0.416, 0.325) [1 per cell]
O (0.449, 0.554, 0.936) [1 per cell]
O (0.452, 0.928, 0.559) [1 per cell]
O (0.459, 0.804, 0.810) [1 per cell]
O (0.472, 0.901, 0.272) [1 per cell]
O (0.473, 0.266, 0.902) [1 per cell]
O (0.506, 0.014, 0.019) [1 per cell]
O (0.525, 0.743, 0.062) [1 per cell]
O (0.528, 0.055, 0.748) [1 per cell]
O (0.638, 0.427, 0.671) [1 per cell]
O (0.640, 0.664, 0.430) [1 per cell]
O (0.707, 0.226, 0.121) [1 per cell]
O (0.715, 0.349, 0.091) [1 per cell]
O (0.730, 0.158, 0.428) [1 per cell]
O (0.735, 0.281, 0.399) [1 per cell]
O (0.807, 0.846, 0.089) [1 per cell]
O (0.808, 0.081, 0.849) [1 per cell]
O (0.921, 0.453, 0.770) [1 per cell]
O (0.922, 0.766, 0.457) [1 per cell]
O (0.939, 0.494, 0.499) [1 per cell]
O (0.973, 0.242, 0.616) [1 per cell]
O (0.974, 0.609, 0.246) [1 per cell]
O (0.987, 0.704, 0.708) [1 per cell]
O (0.993, 0.581, 0.959) [1 per cell]
O (0.997, 0.955, 0.583) [1 per cell]

=====

[3]
The following is a calculated powder X-ray diffraction pattern of Ho2MgS4. It was derived from a crystal structure in the Materials Project, relaxed with PBE, using a wavelength of 1.5418 Å.
Neutral-atom scattering factors, no anomalous dispersion.

Most intense lines, 10 to 90 degrees two-theta, low angle first:
(hkl)	d_spacing	intensity
1 0 2	5.863	87.9
2 0 3	3.615	86.4
2 1 0	3.266	100.0
3 1 2	2.597	74.2
1 1 5	2.147	40.8
4 1 3	2.127	40.8

abc: 12.561 3.824 13.260
angles: 90.00 90.00 90.00
Space group Pnma (No. 62)
Symmetry-distinct sites (fractional):
Ho (0.115, 0.250, 0.078) [4 per cell]
Ho (0.142, 0.250, 0.704) [4 per cell]
Mg (0.117, 0.750, 0.441) [4 per cell]
S (0.015, 0.750, 0.613) [4 per cell]
S (0.030, 0.250, 0.883) [4 per cell]
S (0.221, 0.250, 0.255) [4 per cell]
S (0.242, 0.250, 0.517) [4 per cell]